The following is a theoretical powder XRD pattern of LaFeSi2Rh. It was derived from a DFT-relaxed cell (GGA-PBE, the Materials Project), using Cu Kα (λ = 1.5418 Å).
Neutral-atom scattering factors, no anomalous dispersion.

Cell and atoms:
```
LaFeSi2Rh
1.0
-2.0575 2.0575 5.0644
2.0575 -2.0575 5.0644
2.0575 2.0575 -5.0644
La Fe Si Rh
1 1 2 1
Direct
0.0000 0.0000 0.0000 La
0.2500 0.7500 0.5000 Fe
0.3653 0.3653 0.0000 Si
0.6347 0.6347 0.0000 Si
0.7500 0.2500 0.5000 Rh
```

Top 10 peaks for 10 to 90 degrees two-theta, low angle first:
- 23.33 deg, rel. 39
- 34.36 deg, rel. 46
- 35.45 deg, rel. 18
- 35.58 deg, rel. 100
- 44.01 deg, rel. 40
- 56.99 deg, rel. 21
- 57.73 deg, rel. 17
- 63.74 deg, rel. 21
- 64.00 deg, rel. 13
- 75.40 deg, rel. 29



The following is a theoretical powder XRD pattern of HgS. It was derived from a DFT-relaxed cell (GGA-PBE, the Materials Project), using Cu Kα (λ = 1.5418 Å).
Neutral-atom scattering factors, no anomalous dispersion.

Cell and atoms:
```
HgS
1.0
4.4375 0.0000 0.0000
-2.2187 3.8430 0.0000
0.0000 0.0000 9.7577
Hg S
3 3
Direct
0.0000 0.7607 0.1667 Hg
0.2393 0.2393 0.5000 Hg
0.7607 0.0000 0.8333 Hg
0.0000 0.4549 0.6667 S
0.4549 0.0000 0.3333 S
0.5451 0.5451 0.0000 S
```

Top 10 peaks for 10 to 90 degrees two-theta, low angle first:
- 23.14 deg, rel. 15
- 24.90 deg, rel. 100
- 27.42 deg, rel. 22
- 29.59 deg, rel. 78
- 36.18 deg, rel. 18
- 41.75 deg, rel. 22
- 43.96 deg, rel. 27
- 48.27 deg, rel. 19
- 49.75 deg, rel. 20
- 51.09 deg, rel. 17



The following is a theoretical powder XRD pattern of K2TaAgS4. It was derived from a DFT-relaxed cell (GGA-PBE, the Materials Project), using Cu Kα (λ = 1.5418 Å).
Neutral-atom scattering factors, no anomalous dispersion.

Cell and atoms:
```
K2TaAgS4
1.0
5.9889 0.0000 0.0000
2.9944 6.7657 0.0000
2.9944 0.0000 11.5512
K Ta Ag S
4 2 2 8
Direct
0.0000 0.0000 0.0000 K
0.1068 0.5047 0.7782 K
0.3562 0.0046 0.2820 K
0.7400 0.4982 0.4985 K
0.1633 0.0027 0.6400 Ta
0.9139 0.4997 0.1412 Ta
0.4125 0.5064 0.1420 Ag
0.6720 0.0077 0.6418 Ag
0.1262 0.7950 0.5270 S
0.2912 0.2919 0.0265 S
0.3413 0.2059 0.5214 S
0.4317 0.7968 0.7601 S
0.6615 0.6998 0.0251 S
0.7449 0.3034 0.2559 S
0.7899 0.2077 0.7582 S
0.9826 0.7042 0.2573 S
```

Top 10 peaks for 10 to 90 degrees two-theta, low angle first:
- 15.18 deg, rel. 100
- 15.34 deg, rel. 58
- 26.64 deg, rel. 44
- 30.63 deg, rel. 18
- 31.49 deg, rel. 16
- 32.70 deg, rel. 25
- 36.31 deg, rel. 24
- 38.07 deg, rel. 27
- 41.04 deg, rel. 35
- 46.89 deg, rel. 15



The following is a theoretical powder XRD pattern of YSeO3F. It was derived from a DFT-relaxed cell (GGA-PBE, the Materials Project), using Cu Kα (λ = 1.5418 Å).
Neutral-atom scattering factors, no anomalous dispersion.

Cell and atoms:
```
YSeO3F
1.0
4.4393 0.0000 0.0000
0.0000 7.1090 0.0000
-0.7070 0.0000 6.5959
Y Se O F
2 2 6 2
Direct
0.0400 0.2500 0.1357 Y
0.9600 0.7500 0.8643 Y
0.1801 0.7500 0.3520 Se
0.8199 0.2500 0.6480 Se
0.0614 0.5739 0.1771 O
0.0614 0.9261 0.1771 O
0.0894 0.2500 0.4843 O
0.9106 0.7500 0.5157 O
0.9386 0.0739 0.8229 O
0.9386 0.4261 0.8229 O
0.4596 0.7500 0.8510 F
0.5404 0.2500 0.1490 F
```

Top 10 peaks for 10 to 90 degrees two-theta, low angle first:
- 20.12 deg, rel. 100
- 23.02 deg, rel. 38
- 25.05 deg, rel. 90
- 29.87 deg, rel. 94
- 32.34 deg, rel. 25
- 37.93 deg, rel. 24
- 41.75 deg, rel. 27
- 46.55 deg, rel. 23
- 47.23 deg, rel. 37
- 49.31 deg, rel. 20



The following is a theoretical powder XRD pattern of Ho7Cu3Te12. It was derived from a DFT-relaxed cell (GGA-PBE, the Materials Project), using Cu Kα (λ = 1.5418 Å).
Neutral-atom scattering factors, no anomalous dispersion.

Cell and atoms:
```
Ho7Cu3Te12
1.0
7.4724 0.0000 0.0000
-3.6882 6.5042 0.0000
-1.2841 -2.1580 14.0475
Ho Cu Te
7 3 12
Direct
0.0000 0.0000 0.0000 Ho
0.0831 0.7512 0.2527 Ho
0.2474 0.9163 0.7477 Ho
0.4166 0.4154 0.2527 Ho
0.5849 0.5854 0.7477 Ho
0.7525 0.0860 0.2526 Ho
0.9156 0.2469 0.7477 Ho
0.1434 0.4771 0.4325 Cu
0.4775 0.1448 0.4325 Cu
0.5242 0.8569 0.5699 Cu
0.0420 0.3763 0.1254 Te
0.1259 0.1261 0.3824 Te
0.2042 0.5378 0.6207 Te
0.2928 0.2930 0.8766 Te
0.3758 0.0416 0.1254 Te
0.4637 0.7936 0.3808 Te
0.5398 0.2098 0.6206 Te
0.6246 0.9590 0.8763 Te
0.7076 0.7080 0.1251 Te
0.7939 0.4633 0.3821 Te
0.8747 0.8730 0.6200 Te
0.9589 0.6251 0.8766 Te
```

Top 10 peaks for 10 to 90 degrees two-theta, low angle first:
- 12.60 deg, rel. 25
- 27.96 deg, rel. 51
- 28.10 deg, rel. 100
- 32.01 deg, rel. 26
- 38.40 deg, rel. 16
- 41.67 deg, rel. 57
- 41.97 deg, rel. 28
- 43.73 deg, rel. 19
- 43.82 deg, rel. 28
- 51.18 deg, rel. 20



What is the formula in the first record? LaFeSi2Rh



What did the fifth record say?
The following is a theoretical powder XRD pattern of Ho7Cu3Te12. It was derived from a DFT-relaxed cell (GGA-PBE, the Materials Project), using Cu Kα (λ = 1.5418 Å).
Neutral-atom scattering factors, no anomalous dispersion.

Cell and atoms:
```
Ho7Cu3Te12
1.0
7.4724 0.0000 0.0000
-3.6882 6.5042 0.0000
-1.2841 -2.1580 14.0475
Ho Cu Te
7 3 12
Direct
0.0000 0.0000 0.0000 Ho
0.0831 0.7512 0.2527 Ho
0.2474 0.9163 0.7477 Ho
0.4166 0.4154 0.2527 Ho
0.5849 0.5854 0.7477 Ho
0.7525 0.0860 0.2526 Ho
0.9156 0.2469 0.7477 Ho
0.1434 0.4771 0.4325 Cu
0.4775 0.1448 0.4325 Cu
0.5242 0.8569 0.5699 Cu
0.0420 0.3763 0.1254 Te
0.1259 0.1261 0.3824 Te
0.2042 0.5378 0.6207 Te
0.2928 0.2930 0.8766 Te
0.3758 0.0416 0.1254 Te
0.4637 0.7936 0.3808 Te
0.5398 0.2098 0.6206 Te
0.6246 0.9590 0.8763 Te
0.7076 0.7080 0.1251 Te
0.7939 0.4633 0.3821 Te
0.8747 0.8730 0.6200 Te
0.9589 0.6251 0.8766 Te
```

Top 10 peaks for 10 to 90 degrees two-theta, low angle first:
- 12.60 deg, rel. 25
- 27.96 deg, rel. 51
- 28.10 deg, rel. 100
- 32.01 deg, rel. 26
- 38.40 deg, rel. 16
- 41.67 deg, rel. 57
- 41.97 deg, rel. 28
- 43.73 deg, rel. 19
- 43.82 deg, rel. 28
- 51.18 deg, rel. 20